1.
The following is a theoretical X-ray powder pattern of EuCdAu5. It was derived from a crystal structure in Alexandria, relaxed with GGA-PBE, using Cu Kα (weighted mean of Kα1 and Kα2).
Lines closer than 0.1° are merged.

Main lines, most intense first (15 to 90 degrees two-theta):
d (Å), 2θ (°), intensity
2.224, 40.57, 1000
2.577, 34.82, 932
2.202, 40.99, 813
2.807, 31.88, 735
2.435, 36.91, 568
1.459, 63.80, 416
1.314, 71.82, 309
1.468, 63.36, 272
1.898, 47.92, 261
2.763, 32.40, 258

Structure:
Cell: 7.287 7.287 5.527 Å, 90.00 90.00 90.00°
Space group I-4m2 (No. 119)
Unique sites:
Eu 0.000 0.000 0.000 (multiplicity 2)
Cd 0.000 0.500 0.250 (multiplicity 2)
Au 0.000 0.500 0.750 (multiplicity 2)
Au 0.195 0.195 0.500 (multiplicity 8)

***

2.
The following is a theoretical X-ray powder pattern of Ca4Ni20H. It was derived from a crystal structure in Alexandria, relaxed with GGA-PBE, using Cu Kα (weighted mean of Kα1 and Kα2).
Lines closer than 0.1° are merged.

Main lines, most intense first (15 to 90 degrees two-theta):
d (Å), 2θ (°), intensity
2.100, 43.08, 1000
1.876, 48.54, 632
1.975, 45.96, 503
2.083, 43.44, 498
4.263, 20.84, 454
1.892, 48.10, 277
4.310, 20.61, 272
2.131, 42.41, 265
1.337, 70.42, 206
1.240, 76.91, 184

Structure:
Cell: 9.809 17.242 3.949 Å, 90.00 90.00 90.00°
Space group Cmm2 (No. 35)
Unique sites:
Ca 0.000 0.246 0.000 (multiplicity 4)
Ca 0.248 0.500 0.001 (multiplicity 4)
Ni 0.000 0.000 0.500 (multiplicity 2)
Ni 0.000 0.082 0.000 (multiplicity 4)
Ni 0.000 0.408 0.998 (multiplicity 4)
Ni 0.000 0.500 0.506 (multiplicity 2)
Ni 0.125 0.124 0.500 (multiplicity 8)
Ni 0.125 0.373 0.500 (multiplicity 8)
Ni 0.248 0.333 0.000 (multiplicity 8)
Ni 0.250 0.250 0.500 (multiplicity 4)
H 0.000 0.500 0.083 (multiplicity 2)

***

3.
The following is a theoretical X-ray powder pattern of Ag2I3Br8. It was derived from a crystal structure in Alexandria, relaxed with GGA-PBE, using Cu Kα (weighted mean of Kα1 and Kα2).
Lines closer than 0.1° are merged.

Main lines, most intense first (15 to 90 degrees two-theta):
d (Å), 2θ (°), intensity
3.991, 22.27, 1000
3.746, 23.75, 853
2.946, 30.34, 732
3.791, 23.47, 472
5.324, 16.65, 454
2.266, 39.78, 453
2.489, 36.09, 432
2.277, 39.57, 363
4.256, 20.87, 321
2.123, 42.58, 265

Structure:
Cell: 15.981 8.812 16.075 Å, 90.00 96.73 90.00°
Space group C2/c (No. 15)
Unique sites:
Ag 0.209 0.134 0.119 (multiplicity 8)
I 0.000 0.289 0.250 (multiplicity 4)
I 0.212 0.367 0.607 (multiplicity 8)
Br 0.065 0.286 0.102 (multiplicity 8)
Br 0.118 0.114 0.604 (multiplicity 8)
Br 0.154 0.492 0.340 (multiplicity 8)
Br 0.194 0.128 0.893 (multiplicity 8)

***

4.
The following is a theoretical X-ray powder pattern of Ce3S3O16. It was derived from a crystal structure in Alexandria, relaxed with GGA-PBE, using Cu Kα (weighted mean of Kα1 and Kα2).
Lines closer than 0.1° are merged.

Main lines, most intense first (15 to 90 degrees two-theta):
d (Å), 2θ (°), intensity
3.133, 28.49, 1000
3.814, 23.32, 736
3.466, 25.70, 399
1.907, 47.69, 309
2.307, 39.04, 309
2.905, 30.77, 281
2.928, 30.53, 278
5.301, 16.73, 261
1.651, 55.69, 249
5.492, 16.14, 247

Structure:
Cell: 10.985 10.985 10.601 Å, 90.00 90.00 90.00°
Space group I4/m (No. 87)
Unique sites:
Ce 0.000 0.000 0.246 (multiplicity 4)
Ce 0.027 0.760 0.000 (multiplicity 8)
S 0.000 0.500 0.250 (multiplicity 4)
S 0.140 0.789 0.500 (multiplicity 8)
O 0.035 0.606 0.171 (multiplicity 16)
O 0.078 0.836 0.386 (multiplicity 16)
O 0.103 0.131 0.122 (multiplicity 16)
O 0.128 0.655 0.500 (multiplicity 8)
O 0.172 0.268 0.500 (multiplicity 8)